Structure and computed powder diffractogram of LaCuS (a structure optimized by DFT (PBE); CuKα).

Structural model:
a b c (Å): 4.6508 4.6508 23.2262
angles (deg): 90.00 90.00 120.00
Space group R-3m (No. 166, hexagonal axes)
Asymmetric unit:
La 0.0000 0.0000 0.0859 x6
Cu 0.0000 0.0000 0.3269 x6
S 0.0000 0.0000 0.2143 x6

Main lines, sorted by position (5 to 70 degrees two-theta):
2θ (°)	Rel. int.	h k l
22.40	63	1 0 1
26.94	29	1 0 4
29.35	72	0 1 5
35.04	59	1 0 7
38.21	23	0 1 8
38.72	100	1 1 0
49.32	17	2 0 5
62.43	24	1 1 12